Record 1
For DyGaAg, a cell relaxed with GGA-PBE gives the simulated XRD peak list in this record (Cu Kα, 1.54184 Å).
Lines closer than 0.1° are merged.

Cell and atoms:
```
6
Lattice="5.2444 -2.2947 0.0000 5.2444 2.2947 0.0000 -4.8402 0.0000 5.3361" Properties=species:S:1:pos:R:3 pbc="T T T"
Dy -1.0350 0.0000 1.5519
Dy 6.6834 0.0000 3.7842
Ga -0.7118 0.0000 4.7208
Ga 6.3603 0.0000 0.6153
Ag 2.0817 0.0000 1.4827
Ag 3.5668 0.0000 3.8534
```

Peak list (8 most intense, 15 to 90 degrees two-theta, in order of rising 2θ)
d 2.757, 32.5°, I = 36; d 2.673, 33.5°, I = 100; d 2.648, 33.8°, I = 94; d 2.615, 34.3°, I = 30; d 2.295, 39.3°, I = 56; d 2.255, 40.0°, I = 85; d 1.740, 52.6°, I = 22; d 1.725, 53.1°, I = 20

=====

Record 2
For Dy6AgGe2S14, a cell relaxed with GGA-PBE gives the simulated XRD peak list in this record (Cu Kα, 1.54184 Å).
Lines closer than 0.1° are merged.

Cell and atoms:
```
23
Lattice="9.8471 0.0000 0.0000 -4.9235 8.5278 0.0000 0.0000 0.0000 5.7931" Properties=species:S:1:pos:R:3 pbc="T T T"
Dy -2.4946 4.7347 0.0000
Dy 2.5073 0.9587 2.8990
Dy 2.0704 4.0001 0.0000
Dy 0.4242 8.3208 0.0000
Dy 4.5001 5.8771 2.8990
Dy 7.7632 1.6920 2.8990
Ag 4.9235 2.8426 4.2723
Ge 0.0000 0.0000 0.4472
Ge 0.0000 5.6852 3.3654
S 0.0000 0.0000 4.0390
S -3.3177 7.2701 1.3933
S 0.2863 2.0195 1.3933
S -0.2814 3.6709 4.3055
S -1.6037 6.9361 4.3055
S 0.0000 5.6852 1.1607
S 3.1087 1.4781 5.5571
S 2.8614 3.6888 2.6829
S 5.2218 0.6337 2.6829
S 1.8851 6.4486 4.3055
S 3.0314 7.7660 1.3933
S 4.6492 5.0966 5.5571
S 7.0127 1.9532 5.5571
S 6.6874 4.2054 2.6829
```

Peak list (8 most intense, 15 to 90 degrees two-theta, in order of rising 2θ)
d 4.792, 18.5°, I = 22; d 4.264, 20.8°, I = 21; d 3.752, 23.7°, I = 24; d 3.434, 25.9°, I = 100; d 2.462, 36.5°, I = 46; d 2.396, 37.5°, I = 40; d 2.365, 38.0°, I = 25; d 2.190, 41.2°, I = 25